# 1
The following is a computed X-ray powder pattern of Sc3V2Ge4. It was derived from DFT lattice parameters and positions (PBE), using Cu Ka.

Principal peaks in the range 2θ from 10° to 90°, sorted by position:
26.85°, intensity 31
34.84°, intensity 89
35.31°, intensity 100
36.82°, intensity 39
37.17°, intensity 26
38.01°, intensity 33
39.18°, intensity 32
40.06°, intensity 31
41.07°, intensity 48
41.59°, intensity 81

abc: 6.8451 13.5032 7.0673
angles: 90.00 90.00 90.00
Fractional coordinates of all 36 atoms:
1 Sc 0.1592 0.2500 0.0069
2 Sc 0.1687 0.6237 0.1682
3 Sc 0.1687 0.8763 0.1682
4 Sc 0.3313 0.1237 0.6682
5 Sc 0.3313 0.3763 0.6682
6 Sc 0.3408 0.7500 0.5069
7 Sc 0.6592 0.2500 0.4931
8 Sc 0.6687 0.6237 0.3318
9 Sc 0.6687 0.8763 0.3318
10 Sc 0.8313 0.1237 0.8318
11 Sc 0.8313 0.3763 0.8318
12 Sc 0.8408 0.7500 0.9931
13 V 0.0120 0.5969 0.6852
14 V 0.0120 0.9031 0.6852
15 V 0.4880 0.0969 0.1852
16 V 0.4880 0.4031 0.1852
17 V 0.5120 0.5969 0.8148
18 V 0.5120 0.9031 0.8148
19 V 0.9880 0.0969 0.3148
20 V 0.9880 0.4031 0.3148
21 Ge 0.0258 0.2500 0.6020
22 Ge 0.1796 0.0432 0.9737
23 Ge 0.1796 0.4568 0.9737
24 Ge 0.2036 0.7500 0.8520
25 Ge 0.2964 0.2500 0.3520
26 Ge 0.3204 0.5432 0.4737
27 Ge 0.3204 0.9568 0.4737
28 Ge 0.4742 0.7500 0.1020
29 Ge 0.5258 0.2500 0.8980
30 Ge 0.6796 0.0432 0.5263
31 Ge 0.6796 0.4568 0.5263
32 Ge 0.7036 0.7500 0.6480
33 Ge 0.7964 0.2500 0.1480
34 Ge 0.8204 0.5432 0.0263
35 Ge 0.8204 0.9568 0.0263
36 Ge 0.9742 0.7500 0.3980

# 2
The following is a computed X-ray powder pattern of GeSe. It was derived from DFT lattice parameters and positions (PBE), using Cu Ka.

Principal peaks in the range 2θ from 10° to 90°, sorted by position:
25.27°, intensity 23
30.28°, intensity 12
31.35°, intensity 100
32.13°, intensity 44
38.98°, intensity 23
46.85°, intensity 22
49.23°, intensity 12
51.38°, intensity 32
57.95°, intensity 18
77.19°, intensity 9

abc: 11.1422 3.8780 4.5499
angles: 90.00 90.00 90.00
Fractional coordinates of all 8 atoms:
1 Ge 0.1250 0.2500 0.1173
2 Ge 0.3750 0.7500 0.6173
3 Ge 0.6250 0.2500 0.3827
4 Ge 0.8750 0.7500 0.8827
5 Se 0.1478 0.7500 0.4957
6 Se 0.3522 0.2500 0.9957
7 Se 0.6478 0.7500 0.0043
8 Se 0.8522 0.2500 0.5043

# 3
The following is a computed X-ray powder pattern of GeSe. It was derived from DFT lattice parameters and positions (PBE), using Cu Ka.

Principal peaks in the range 2θ from 10° to 90°, sorted by position:
31.58°, intensity 100
45.27°, intensity 73
56.24°, intensity 25
65.95°, intensity 12
74.96°, intensity 32
83.61°, intensity 24

abc: 4.0063 4.0063 4.0063
angles: 60.00 60.00 60.00
Fractional coordinates of all 2 atoms:
1 Ge 0.0000 0.0000 0.0000
2 Se 0.5000 0.5000 0.5000